Theoretical X-ray powder pattern
Compound: BaSrI4
Radiation: λ = 1.5418 Å (Cu Kα)
Structure: a crystal structure in the Materials Project, relaxed with PBE
Intensities are scaled so that the largest is 1000.

Atomic structure:
```
BaSrI4
1.0
10.2686 0.0000 0.0000
0.0000 11.2184 0.0000
0.0000 0.0000 11.2172
Ba Sr I
4 4 16
Cartesian
2.4056 2.8046 2.7927 Ba
2.7287 8.4138 8.4013 Ba
7.5399 2.8046 2.8158 Ba
7.8630 8.4138 8.4244 Ba
0.1066 2.8046 8.5168 Sr
5.0277 8.4138 2.9082 Sr
5.2409 2.8046 8.3089 Sr
10.1620 8.4138 2.7004 Sr
0.1538 6.1108 8.6220 I
0.1538 10.7168 8.6220 I
2.3694 8.4138 4.9260 I
2.5601 8.4138 0.6768 I
2.5742 2.8046 6.2854 I
2.7649 2.8046 10.5346 I
4.9806 0.5016 3.0134 I
4.9806 5.1076 3.0134 I
5.2881 6.1108 8.2037 I
5.2881 10.7168 8.2037 I
7.5037 8.4138 0.6825 I
7.6944 8.4138 4.9318 I
7.7086 2.8046 10.5404 I
7.8992 2.8046 6.2911 I
10.1149 0.5016 2.5951 I
10.1149 5.1076 2.5951 I
```

Main lines, low angle first (2θ = 15–90°):
| 2θ (°) | I_rel |
| --- | --- |
| 15.80 | 475 |
| 23.49 | 1000 |
| 25.10 | 370 |
| 30.63 | 616 |
| 31.91 | 316 |
| 34.95 | 209 |
| 38.29 | 531 |
| 48.05 | 174 |
| 60.07 | 190 |
| 65.98 | 177 |



Theoretical X-ray powder pattern
Compound: ZnPd5Se
Radiation: λ = 1.5418 Å (Cu Kα)
Structure: a crystal structure in the Materials Project, relaxed with PBE
Intensities are scaled so that the largest is 1000.

Atomic structure:
```
ZnPd5Se
1.0
4.0052 0.0000 0.0000
0.0000 4.0052 0.0000
0.0000 0.0000 7.0695
Zn Pd Se
1 5 1
Cartesian
0.0000 0.0000 0.0000 Zn
0.0000 2.0026 1.9344 Pd
0.0000 2.0026 5.1352 Pd
2.0026 0.0000 1.9344 Pd
2.0026 0.0000 5.1352 Pd
2.0026 2.0026 0.0000 Pd
2.0026 2.0026 3.5348 Se
```

Main lines, low angle first (2θ = 15–90°):
| 2θ (°) | I_rel |
| --- | --- |
| 22.20 | 76 |
| 31.59 | 68 |
| 34.10 | 99 |
| 40.83 | 1000 |
| 45.28 | 391 |
| 51.72 | 105 |
| 65.97 | 124 |
| 71.15 | 157 |
| 80.57 | 263 |
| 88.47 | 90 |



Theoretical X-ray powder pattern
Compound: K3Cu2O4
Radiation: λ = 1.5418 Å (Cu Kα)
Structure: a crystal structure in the Materials Project, relaxed with PBE
Intensities are scaled so that the largest is 1000.

Atomic structure:
```
K3Cu2O4
1.0
3.1090 -4.5647 0.0000
3.1090 4.5647 0.0000
0.0000 0.0000 10.9848
K Cu O
6 4 8
Cartesian
3.1090 3.1564 6.2562 K
3.1090 3.1564 10.2210 K
3.1090 2.7964 2.7462 K
3.1090 -2.7964 8.2386 K
3.1090 -3.1564 0.7638 K
3.1090 -3.1564 4.7286 K
3.1090 0.5648 8.2386 Cu
3.1090 0.0000 0.0000 Cu
3.1090 0.0000 5.4924 Cu
3.1090 -0.5648 2.7462 Cu
1.8455 0.5705 6.7891 O
1.8455 0.5705 9.6881 O
1.8455 -0.5705 1.2967 O
1.8455 -0.5705 4.1957 O
4.3725 0.5705 6.7891 O
4.3725 0.5705 9.6881 O
4.3725 -0.5705 1.2967 O
4.3725 -0.5705 4.1957 O
```

Main lines, low angle first (2θ = 15–90°):
| 2θ (°) | I_rel |
| --- | --- |
| 17.25 | 817 |
| 19.45 | 446 |
| 21.08 | 382 |
| 28.71 | 619 |
| 29.96 | 374 |
| 32.76 | 1000 |
| 33.79 | 412 |
| 37.12 | 359 |
| 43.00 | 590 |
| 43.99 | 414 |



Theoretical X-ray powder pattern
Compound: SmCdAu
Radiation: λ = 1.5418 Å (Cu Kα)
Structure: a crystal structure in the Materials Project, relaxed with PBE
Intensities are scaled so that the largest is 1000.

Atomic structure:
```
SmCdAu
1.0
7.9869 0.0000 0.0000
-3.9935 6.9169 0.0000
0.0000 0.0000 3.9344
Sm Cd Au
3 3 3
Cartesian
-2.3681 4.1016 0.0000 Sm
1.6254 2.8153 0.0000 Sm
4.7361 0.0000 0.0000 Sm
-1.0410 1.8031 1.9672 Cd
2.0820 0.0000 1.9672 Cd
2.9524 5.1138 1.9672 Cd
0.0000 0.0000 0.0000 Au
0.0000 4.6113 1.9672 Au
3.9935 2.3056 1.9672 Au
```

Main lines, low angle first (2θ = 15–90°):
| 2θ (°) | I_rel |
| --- | --- |
| 22.26 | 186 |
| 31.93 | 751 |
| 34.30 | 322 |
| 34.53 | 1000 |
| 39.07 | 547 |
| 41.47 | 419 |
| 46.14 | 237 |
| 58.74 | 133 |
| 62.01 | 282 |
| 63.18 | 368 |



Theoretical X-ray powder pattern
Compound: Mn2Ge
Radiation: λ = 1.5418 Å (Cu Kα)
Structure: a crystal structure in the Materials Project, relaxed with PBE
Intensities are scaled so that the largest is 1000.

Atomic structure:
```
Mn2Ge
1.0
4.1868 0.0000 0.0000
-2.0934 3.6259 0.0000
0.0000 0.0000 5.1061
Mn Ge
4 2
Cartesian
0.0000 0.0000 0.0000 Mn
0.0000 0.0000 2.5530 Mn
0.0000 2.4173 1.2765 Mn
2.0934 1.2086 3.8296 Mn
0.0000 2.4173 3.8296 Ge
2.0934 1.2086 1.2765 Ge
```

Main lines, low angle first (2θ = 15–90°):
| 2θ (°) | I_rel |
| --- | --- |
| 24.55 | 11 |
| 30.23 | 41 |
| 35.15 | 98 |
| 43.22 | 1000 |
| 43.35 | 834 |
| 56.88 | 144 |
| 62.87 | 254 |
| 74.30 | 60 |
| 79.32 | 398 |
| 89.77 | 40 |



Theoretical X-ray powder pattern
Compound: MgPaRu2
Radiation: λ = 1.5418 Å (Cu Kα)
Structure: a crystal structure in the Materials Project, relaxed with PBE
Intensities are scaled so that the largest is 1000.

Atomic structure:
```
MgPaRu2
1.0
0.0000 3.2932 3.2932
3.2932 0.0000 3.2932
3.2932 3.2932 0.0000
Mg Pa Ru
1 1 2
Cartesian
0.0000 0.0000 0.0000 Mg
3.2932 3.2932 3.2932 Pa
1.6466 1.6466 1.6466 Ru
4.9397 4.9397 4.9397 Ru
```

Main lines, low angle first (2θ = 15–90°):
| 2θ (°) | I_rel |
| --- | --- |
| 23.39 | 454 |
| 27.08 | 11 |
| 38.67 | 1000 |
| 45.69 | 243 |
| 55.83 | 172 |
| 61.35 | 104 |
| 69.98 | 349 |
| 74.92 | 79 |
| 82.92 | 111 |
| 87.65 | 84 |